Starting from a DFT-relaxed cell (PBE+U, the Materials Project), the X-ray diffraction stick pattern of FeP2H6NO8 was simulated for Cu Kα.
Peak positions follow from Bragg's law for the DFT cell and can differ from measured ones.

Peak list (6 most intense, 2θ = 10–90°, low angle first)
11.43°, rel. 98
13.40°, rel. 62
14.15°, rel. 100
28.00°, rel. 99
29.26°, rel. 62
32.94°, rel. 64

Structural model:
```
data_FeP2H6NO8
_symmetry_space_group_name_H-M 'P 1'
_symmetry_Int_Tables_number 1
_cell_length_a 7.216
_cell_length_b 8.831
_cell_length_c 9.637
_cell_angle_alpha 64.24
_cell_angle_beta 70.22
_cell_angle_gamma 70.02
loop_
_symmetry_equiv_pos_as_xyz
'x,y,z'
loop_
_atom_site_label
_atom_site_fract_x
_atom_site_fract_y
_atom_site_fract_z
_atom_site_occupancy
Fe1 0.000 0.000 0.000 1
Fe2 0.203 0.220 0.449 1
Fe3 0.797 0.780 0.551 1
P1 0.090 0.626 0.264 1
P2 0.090 0.844 0.721 1
P3 0.456 0.061 0.719 1
P4 0.544 0.939 0.281 1
P5 0.910 0.156 0.279 1
P6 0.910 0.374 0.736 1
H1 0.075 0.539 0.729 1
H2 0.265 0.961 0.208 1
H3 0.302 0.285 0.931 1
H4 0.338 0.471 0.912 1
H5 0.346 0.297 0.087 1
H6 0.387 0.571 0.440 1
H7 0.394 0.761 0.758 1
H8 0.458 0.373 0.525 1
H9 0.465 0.706 0.073 1
H10 0.535 0.294 0.927 1
H11 0.542 0.627 0.475 1
H12 0.606 0.239 0.242 1
H13 0.613 0.429 0.560 1
H14 0.654 0.703 0.913 1
H15 0.662 0.529 0.088 1
H16 0.698 0.715 0.069 1
H17 0.735 0.039 0.792 1
H18 0.925 0.461 0.271 1
N1 0.380 0.337 0.965 1
N2 0.500 0.500 0.500 1
N3 0.620 0.663 0.035 1
O1 0.016 0.259 0.311 1
O2 0.024 0.687 0.404 1
O3 0.056 0.087 0.148 1
O4 0.094 0.411 0.763 1
O5 0.170 0.765 0.109 1
O6 0.170 0.984 0.573 1
O7 0.255 0.456 0.297 1
O8 0.263 0.053 0.849 1
O9 0.279 0.703 0.787 1
O10 0.393 0.877 0.241 1
O11 0.414 0.206 0.559 1
O12 0.443 0.121 0.291 1
O13 0.557 0.879 0.709 1
O14 0.586 0.794 0.441 1
O15 0.607 0.123 0.759 1
O16 0.721 0.297 0.213 1
O17 0.737 0.947 0.151 1
O18 0.745 0.544 0.703 1
O19 0.830 0.016 0.427 1
O20 0.830 0.235 0.891 1
O21 0.906 0.589 0.237 1
O22 0.944 0.913 0.852 1
O23 0.976 0.313 0.596 1
O24 0.984 0.741 0.689 1
```